# Ca3SmF8
Computed powder diffraction line list, CuKα. Input: the GGA-PBE geometry in Alexandria.

The 8 most intense peaks (10 to 80 degrees two-theta), in order of falling intensity:
hkl  two_theta  Rel. int.
1 1 1  27.71  100
2 2 0  46.04  84
3 1 1  54.59  42
1 0 0  15.90  37
1 1 0  22.55  36
2 1 0  36.02  24
2 1 1  39.59  17
3 3 1  74.13  16

Cell and atoms:
```
data_Ca3SmF8
_cell_length_a 5.576
_cell_length_b 5.576
_cell_length_c 5.576
_cell_angle_alpha 90.00
_cell_angle_beta 90.00
_cell_angle_gamma 90.00
_space_group_name_H-M_alt 'P m -3 m'
_space_group_IT_number 221
_space_group_name_Hall '-P 4 2 3'
loop_
_atom_site_label
_atom_site_type_symbol
_atom_site_fract_x
_atom_site_fract_y
_atom_site_fract_z
Ca1 Ca 0.000 0.000 0.500
Sm1 Sm 0.500 0.500 0.500
F1 F 0.246 0.246 0.246
```



# Ca6Sn3F
Computed powder diffraction line list, CuKα. Input: the GGA-PBE geometry in Alexandria.

The 8 most intense peaks (10 to 80 degrees two-theta), in order of falling intensity:
hkl  two_theta  Rel. int.
1 3 -1  32.71  100
2 1 -3  30.92  60
0 2 3  33.06  42
1 1 1  23.35  41
1 0 0  15.40  35
0 0 4  35.33  32
2 0 -2  27.11  31
1 1 2  30.28  31

Cell and atoms:
```
data_Ca6Sn3F
_cell_length_a 6.604
_cell_length_b 9.029
_cell_length_c 11.664
_cell_angle_alpha 90.00
_cell_angle_beta 119.39
_cell_angle_gamma 90.00
_space_group_name_H-M_alt 'P 1 21/c 1'
_space_group_IT_number 14
_space_group_name_Hall '-P 2ybc'
loop_
_atom_site_label
_atom_site_type_symbol
_atom_site_fract_x
_atom_site_fract_y
_atom_site_fract_z
Ca1 Ca 0.064 0.173 0.437
Ca2 Ca 0.336 0.678 0.442
Ca3 Ca 0.395 0.034 0.280
Sn1 Sn 0.000 0.000 0.000
Sn2 Sn 0.176 0.119 0.749
F1 F 0.500 0.000 0.500
```



# Ca3SnF6
Computed powder diffraction line list, CuKα. Input: the GGA-PBE geometry in Alexandria.

The 8 most intense peaks (10 to 80 degrees two-theta), in order of falling intensity:
hkl  two_theta  Rel. int.
1 0 1  28.70  100
0 2 0  25.46  71
0 0 2  25.27  68
1 0 0  25.70  55
0 1 0  12.63  37
0 2 -2  28.13  35
1 1 -2  35.06  28
1 -3 2  45.61  27

Cell and atoms:
```
data_Ca3SnF6
_cell_length_a 3.467
_cell_length_b 7.591
_cell_length_c 7.647
_cell_angle_alpha 112.80
_cell_angle_beta 90.17
_cell_angle_gamma 90.08
_space_group_name_H-M_alt 'P -1'
_space_group_IT_number 2
_space_group_name_Hall '-P 1'
loop_
_atom_site_label
_atom_site_type_symbol
_atom_site_fract_x
_atom_site_fract_y
_atom_site_fract_z
Ca1 Ca 0.000 0.000 0.000
Ca2 Ca 0.000 0.500 0.500
Ca3 Ca 0.500 0.000 0.500
Sn1 Sn 0.000 0.500 0.000
F1 F 0.001 0.021 0.706
F2 F 0.003 0.691 0.815
F3 F 0.500 0.317 0.532
```



# Sr3CaF8
Computed powder diffraction line list, CuKα. Input: the GGA-PBE geometry in Alexandria.

The 8 most intense peaks (10 to 80 degrees two-theta), in order of falling intensity:
hkl  two_theta  Rel. int.
1 1 2  26.74  100
2 2 0  44.37  82
3 1 2  52.57  44
3 3 2  71.18  18
4 0 0  64.56  12
2 0 0  30.97  12
4 2 0  73.32  6
1 0 1  17.17  5

Cell and atoms:
```
data_Sr3CaF8
_cell_length_a 5.775
_cell_length_b 5.775
_cell_length_c 11.548
_cell_angle_alpha 90.00
_cell_angle_beta 90.00
_cell_angle_gamma 90.00
_space_group_name_H-M_alt 'I 4/m m m'
_space_group_IT_number 139
_space_group_name_Hall '-I 4 2'
loop_
_atom_site_label
_atom_site_type_symbol
_atom_site_fract_x
_atom_site_fract_y
_atom_site_fract_z
Sr1 Sr 0.000 0.000 0.000
Sr2 Sr 0.000 0.500 0.250
Ca1 Ca 0.000 0.000 0.500
F1 F 0.243 0.243 0.378
```



# CaTlF4
Computed powder diffraction line list, CuKα. Input: the GGA-PBE geometry in Alexandria.

The 8 most intense peaks (10 to 80 degrees two-theta), in order of falling intensity:
hkl  two_theta  Rel. int.
1 0 1  27.15  100
2 0 0  45.08  65
1 0 0  22.08  34
0 0 1  15.61  33
2 1 1  53.39  31
1 1 1  35.27  23
0 0 2  31.46  23
1 0 2  38.82  17

Cell and atoms:
```
data_CaTlF4
_cell_length_a 4.026
_cell_length_b 4.026
_cell_length_c 5.677
_cell_angle_alpha 90.00
_cell_angle_beta 90.00
_cell_angle_gamma 90.00
_space_group_name_H-M_alt 'P 4/m m m'
_space_group_IT_number 123
_space_group_name_Hall '-P 4 2'
loop_
_atom_site_label
_atom_site_type_symbol
_atom_site_fract_x
_atom_site_fract_y
_atom_site_fract_z
Ca1 Ca 0.000 0.000 0.000
Tl1 Tl 0.500 0.500 0.500
F1 F 0.000 0.500 0.237
```



# CaTlF6
Computed powder diffraction line list, CuKα. Input: the GGA-PBE geometry in Alexandria.

The 8 most intense peaks (10 to 80 degrees two-theta), in order of falling intensity:
hkl  two_theta  Rel. int.
1 0 1  22.24  100
1 0 0  20.13  53
1 1 2  29.25  49
1 -1 2  47.89  38
2 1 0  37.80  29
0 0 1  16.23  29
2 1 1  33.90  19
0 2 2  45.38  15

Cell and atoms:
```
data_CaTlF6
_cell_length_a 5.281
_cell_length_b 5.289
_cell_length_c 6.254
_cell_angle_alpha 65.07
_cell_angle_beta 65.04
_cell_angle_gamma 60.11
_space_group_name_H-M_alt 'P -1'
_space_group_IT_number 2
_space_group_name_Hall '-P 1'
loop_
_atom_site_label
_atom_site_type_symbol
_atom_site_fract_x
_atom_site_fract_y
_atom_site_fract_z
Ca1 Ca 0.000 0.000 0.000
Tl1 Tl 0.500 0.500 0.500
F1 F 0.096 0.421 0.742
F2 F 0.260 0.903 0.258
F3 F 0.421 0.741 0.742
```



# CaTlF
Computed powder diffraction line list, CuKα. Input: the GGA-PBE geometry in Alexandria.

The 8 most intense peaks (10 to 80 degrees two-theta), in order of falling intensity:
hkl  two_theta  Rel. int.
1 0 4  28.84  100
0 1 8  35.32  45
1 0 7  33.42  37
1 1 0  46.53  33
0 1 11  41.88  27
1 1 12  59.49  21
1 0 1  26.53  20
0 0 12  34.94  17

Cell and atoms:
```
data_CaTlF
_cell_length_a 3.9034
_cell_length_b 3.9034
_cell_length_c 30.8187
_cell_angle_alpha 90.00
_cell_angle_beta 90.00
_cell_angle_gamma 120.00
_space_group_name_H-M_alt 'R -3 m'
_space_group_IT_number 166
_space_group_name_Hall '-R 3 2"'
loop_
_atom_site_label
_atom_site_type_symbol
_atom_site_fract_x
_atom_site_fract_y
_atom_site_fract_z
Ca1 Ca 0.0000 0.0000 0.1146
Tl1 Tl 0.0000 0.0000 0.3684
F1 F 0.0000 0.0000 0.1930
```